Theoretical powder X-ray diffraction pattern of Fe4Ni3Pt2 for Cu Kα (λ = 1.5418 Å), from a DFT-relaxed cell (PBE, Alexandria).
Peak positions follow from Bragg's law for the DFT cell and can differ from measured ones.

Peak list (10 most intense, 5° ≤ 2θ ≤ 70°, by angle)
- 2θ 23.1, intensity 43, hkl 0 1 1
- 2θ 23.4, intensity 20, hkl 1 2 0
- 2θ 27.9, intensity 20, hkl 1 0 1
- 2θ 31.7, intensity 19, hkl 0 4 0
- 2θ 36.8, intensity 29, hkl 1 3 1
- 2θ 42.7, intensity 44, hkl 2 3 0
- 2θ 44.1, intensity 44, hkl 0 0 2
- 2θ 44.7, intensity 100, hkl 2 2 1
- 2θ 45.8, intensity 70, hkl 0 5 1
- 2θ 63.1, intensity 27, hkl 2 3 2

abc: 5.1185 11.3029 4.1046
angles: 90.00 90.00 90.00
Fractional positions:
1 Fe 0.1392 0.1090 0.0000
2 Fe 0.1400 0.7968 0.5000
3 Fe 0.3600 0.2968 0.0000
4 Fe 0.3608 0.6090 0.5000
5 Fe 0.6392 0.3910 0.5000
6 Fe 0.6400 0.7032 0.0000
7 Fe 0.8600 0.2032 0.5000
8 Fe 0.8608 0.8910 0.0000
9 Ni 0.0000 0.0000 0.5000
10 Ni 0.1376 0.6754 0.0000
11 Ni 0.3624 0.1754 0.5000
12 Ni 0.5000 0.5000 0.0000
13 Ni 0.6376 0.8246 0.5000
14 Ni 0.8624 0.3246 0.0000
15 Pt 0.1482 0.4015 0.5000
16 Pt 0.3518 0.9015 0.0000
17 Pt 0.6482 0.0985 0.0000
18 Pt 0.8518 0.5985 0.5000



Theoretical powder X-ray diffraction pattern of Ba4Zn4B14Pb2O31 for Cu Kα (λ = 1.5418 Å), from a DFT-relaxed cell (PBE, Alexandria).
Peak positions follow from Bragg's law for the DFT cell and can differ from measured ones.

Peak list (10 most intense, 5° ≤ 2θ ≤ 70°, by angle)
- 2θ 5.5, intensity 63, hkl 0 0 1
- 2θ 20.1, intensity 38, hkl 1 1 3
- 2θ 24.9, intensity 36, hkl 1 2 1
- 2θ 25.1, intensity 75, hkl 2 1 0
- 2θ 25.8, intensity 67, hkl 1 2 2
- 2θ 26.4, intensity 57, hkl 2 1 -1
- 2θ 26.6, intensity 43, hkl 1 0 -4
- 2θ 27.6, intensity 100, hkl 0 0 5
- 2θ 29.0, intensity 41, hkl 0 2 0
- 2θ 44.1, intensity 58, hkl 3 3 1

abc: 7.1244 7.1504 16.4408
angles: 79.74 83.66 60.44
Fractional positions:
1 Ba 0.0000 0.0000 0.0000
2 Ba 0.0172 0.5679 0.2468
3 Ba 0.2869 0.4213 0.8311
4 Ba 0.7387 0.1545 0.4011
5 Zn 0.0614 0.4822 0.4674
6 Zn 0.3481 0.2851 0.0744
7 Zn 0.6654 0.2844 0.1714
8 Zn 0.9611 0.0910 0.7830
9 B 0.1144 0.5425 0.6290
10 B 0.1286 0.9679 0.2121
11 B 0.2363 0.7732 0.4140
12 B 0.3560 0.0481 0.4204
13 B 0.3792 0.0855 0.2585
14 B 0.3987 0.9206 0.8267
15 B 0.5028 0.8691 0.0164
16 B 0.5115 0.6975 0.2327
17 B 0.6221 0.6515 0.4228
18 B 0.6371 0.4827 0.9885
19 B 0.6646 0.5261 0.8265
20 B 0.7852 0.7993 0.8350
21 B 0.8859 0.6001 0.0368
22 B 0.9328 0.9605 0.6254
23 Pb 0.4247 0.0400 0.6113
24 Pb 0.6851 0.4391 0.6248
25 O 0.0748 0.5656 0.0647
26 O 0.0766 0.7323 0.3992
27 O 0.0779 0.7411 0.6490
28 O 0.1583 0.1156 0.2434
29 O 0.1885 0.9772 0.4275
30 O 0.1958 0.0874 0.8347
31 O 0.3038 0.7550 0.2089
32 O 0.3049 0.3659 0.6583
33 O 0.3206 0.1955 0.4799
34 O 0.3351 0.0722 0.0201
35 O 0.3690 0.1592 0.3379
36 O 0.4130 0.2342 0.1943
37 O 0.4470 0.7236 0.8066
38 O 0.4526 0.6062 0.4155
39 O 0.4678 0.7153 0.9906
40 O 0.5479 0.8517 0.2573
41 O 0.5686 0.9660 0.8342
42 O 0.5739 0.8508 0.4408
43 O 0.6020 0.3327 0.0521
44 O 0.6498 0.4115 0.9083
45 O 0.6770 0.4915 0.2312
46 O 0.7044 0.3812 0.7661
47 O 0.7108 0.8133 0.0392
48 O 0.7569 0.0507 0.5763
49 O 0.8249 0.4829 0.4162
50 O 0.8326 0.5958 0.8215
51 O 0.8568 0.4516 0.0059
52 O 0.9379 0.0028 0.1860
53 O 0.9462 0.8397 0.8486
54 O 0.9696 0.5323 0.5839
55 O 0.9792 0.0995 0.6587



Theoretical powder X-ray diffraction pattern of K3V5S10 for Cu Kα (λ = 1.5418 Å), from a DFT-relaxed cell (PBE, Alexandria).
Peak positions follow from Bragg's law for the DFT cell and can differ from measured ones.

Peak list (10 most intense, 5° ≤ 2θ ≤ 70°, by angle)
- 2θ 11.4, intensity 100, hkl 0 1 0
- 2θ 22.8, intensity 6, hkl 0 2 0
- 2θ 31.7, intensity 15, hkl 1 0 -2
- 2θ 36.3, intensity 25, hkl 1 3 3
- 2θ 36.5, intensity 55, hkl 2 -1 1
- 2θ 49.8, intensity 7, hkl -1 4 2
- 2θ 50.4, intensity 6, hkl 1 -2 3
- 2θ 54.7, intensity 7, hkl 0 2 5
- 2θ 54.8, intensity 8, hkl 3 0 -1
- 2θ 54.9, intensity 8, hkl 3 2 4

abc: 5.7943 8.7334 8.8745
angles: 63.54 71.08 77.28
Fractional positions:
1 K 0.0000 0.0000 0.0000
2 K 0.1932 0.9819 0.3715
3 K 0.6370 0.9752 0.7384
4 V 0.1207 0.4855 0.1794
5 V 0.3342 0.4821 0.7300
6 V 0.5155 0.4843 0.3691
7 V 0.6904 0.4881 0.0052
8 V 0.9069 0.4831 0.5578
9 S 0.0741 0.3212 0.0324
10 S 0.1584 0.6713 0.2944
11 S 0.2674 0.2933 0.6383
12 S 0.3543 0.6552 0.8943
13 S 0.4730 0.2928 0.2550
14 S 0.5654 0.6764 0.4828
15 S 0.6617 0.3141 0.8429
16 S 0.7530 0.6763 0.0985
17 S 0.8733 0.2968 0.4424
18 S 0.9549 0.6487 0.7049